This entry pairs a crystal structure of Li3Ti8O16 with its simulated XRD peak list. Radiation: copper Kα. Structure: DFT lattice parameters and positions (GGA-PBE).

Peak list (8 most intense, 2θ = 10–80°, in order of rising 2θ)
two_theta	Rel. int.
18.15	100.0
35.15	40.2
42.72	57.1
46.77	7.7
56.48	19.2
62.01	32.7
65.19	13.0
78.23	8.4

Structure:
Cell lengths 5.989, 11.970, 8.466 Å; angles 90.00, 90.00, 90.00 degrees
Atoms (fractional coordinates):
Li 0.250 0.001 0.126
Li 0.250 0.499 0.126
Li 0.250 0.750 0.376
Li 0.750 0.250 0.624
Li 0.750 0.501 0.874
Li 0.750 0.999 0.874
Ti 0.000 0.000 0.500
Ti 0.000 0.500 0.500
Ti 0.002 0.250 0.004
Ti 0.250 0.126 0.745
Ti 0.250 0.374 0.745
Ti 0.250 0.627 0.749
Ti 0.250 0.873 0.749
Ti 0.498 0.250 0.004
Ti 0.500 0.000 0.500
Ti 0.500 0.500 0.500
Ti 0.502 0.750 0.996
Ti 0.750 0.127 0.251
Ti 0.750 0.373 0.251
Ti 0.750 0.626 0.255
Ti 0.750 0.874 0.255
Ti 0.998 0.750 0.996
O 0.026 0.000 0.737
O 0.026 0.250 0.763
O 0.026 0.500 0.737
O 0.031 0.750 0.767
O 0.250 0.108 0.516
O 0.250 0.138 0.986
O 0.250 0.362 0.986
O 0.250 0.392 0.516
O 0.250 0.612 0.512
O 0.250 0.637 0.988
O 0.250 0.863 0.988
O 0.250 0.888 0.512
O 0.469 0.750 0.767
O 0.474 0.000 0.737
O 0.474 0.250 0.763
O 0.474 0.500 0.737
O 0.526 0.000 0.263
O 0.526 0.500 0.263
O 0.526 0.750 0.237
O 0.531 0.250 0.233
O 0.750 0.112 0.488
O 0.750 0.137 0.012
O 0.750 0.363 0.012
O 0.750 0.388 0.488
O 0.750 0.608 0.484
O 0.750 0.638 0.014
O 0.750 0.862 0.014
O 0.750 0.892 0.484
O 0.969 0.250 0.233
O 0.974 0.000 0.263
O 0.974 0.500 0.263
O 0.974 0.750 0.237

This entry pairs a crystal structure of Li2Ti2O5 with its simulated XRD peak list. Radiation: copper Kα. Structure: DFT lattice parameters and positions (GGA-PBE).

Peak list (8 most intense, 2θ = 10–80°, in order of rising 2θ)
two_theta	Rel. int.
15.89	49.5
16.37	43.1
22.36	100.0
23.11	85.6
23.45	92.1
28.40	37.5
31.38	39.1
33.72	51.9

Structure:
Cell lengths 8.608, 5.316, 11.723 Å; angles 90.00, 112.52, 90.00 degrees
Atoms (fractional coordinates):
Li 0.094 0.158 0.310
Li 0.094 0.342 0.810
Li 0.101 0.671 0.985
Li 0.101 0.829 0.485
Li 0.899 0.171 0.515
Li 0.899 0.329 0.015
Li 0.906 0.658 0.190
Li 0.906 0.842 0.690
Ti 0.283 0.167 0.114
Ti 0.283 0.333 0.614
Ti 0.297 0.664 0.287
Ti 0.297 0.836 0.787
Ti 0.703 0.164 0.213
Ti 0.703 0.336 0.713
Ti 0.717 0.667 0.386
Ti 0.717 0.833 0.886
O 0.114 0.214 0.485
O 0.114 0.286 0.985
O 0.131 0.729 0.828
O 0.131 0.771 0.328
O 0.266 0.179 0.752
O 0.266 0.321 0.252
O 0.266 0.678 0.638
O 0.266 0.822 0.138
O 0.487 0.230 0.104
O 0.487 0.270 0.604
O 0.513 0.730 0.396
O 0.513 0.770 0.896
O 0.734 0.178 0.862
O 0.734 0.322 0.362
O 0.734 0.679 0.748
O 0.734 0.821 0.248
O 0.869 0.229 0.672
O 0.869 0.271 0.172
O 0.886 0.714 0.015
O 0.886 0.786 0.515

This entry pairs a crystal structure of Li6Ti2O7 with its simulated XRD peak list. Radiation: copper Kα. Structure: DFT lattice parameters and positions (GGA-PBE).

Peak list (8 most intense, 2θ = 10–80°, in order of rising 2θ)
two_theta	Rel. int.
17.89	100.0
21.36	53.8
23.21	23.0
28.22	43.3
43.50	36.5
44.18	69.5
62.86	18.4
64.61	17.6

Structure:
Cell lengths 5.136, 5.863, 9.949 Å; angles 90.00, 110.86, 90.00 degrees
Atoms (fractional coordinates):
Li 0.185 0.003 0.129
Li 0.185 0.497 0.629
Li 0.226 0.717 0.864
Li 0.226 0.783 0.364
Li 0.232 0.229 0.368
Li 0.232 0.271 0.868
Li 0.768 0.729 0.132
Li 0.768 0.771 0.632
Li 0.774 0.217 0.636
Li 0.774 0.283 0.136
Li 0.815 0.503 0.371
Li 0.815 0.997 0.871
Ti 0.261 0.506 0.135
Ti 0.261 0.994 0.635
Ti 0.739 0.006 0.365
Ti 0.739 0.494 0.865
O 0.005 0.227 0.502
O 0.005 0.273 0.002
O 0.053 0.506 0.255
O 0.053 0.994 0.755
O 0.494 0.737 0.745
O 0.494 0.763 0.245
O 0.500 0.000 0.500
O 0.500 0.500 0.000
O 0.506 0.237 0.755
O 0.506 0.263 0.255
O 0.947 0.006 0.245
O 0.947 0.494 0.745
O 0.995 0.727 0.998
O 0.995 0.773 0.498